(1)
# BaSiAg2SeS3
Theoretical XRD peak list, a wavelength of 1.5418 Å. Input: a DFT-relaxed cell (PBE, OQMD).
Kinematic intensities with the Lorentz-polarization factor, no thermal factor.

Cell and atoms:
Lattice parameters (Å, degrees): 8.258 9.663 6.360 90.00 129.67 90.00
Space group Cm (No. 8)
One atom of each set of equivalent atoms:
Ba  0.000  0.000  0.000 x2
Si  0.481  0.000  0.977 x2
Ag  0.498  0.243  0.494 x4
Se  0.330  0.500  0.364 x2
S  0.340  0.183  0.986 x4
S  0.457  0.000  0.621 x2

Peak list (10 most intense, 10° ≤ 2θ ≤ 90°, most intense first)
2theta	I_rel
28.45	100.0
25.91	34.2
28.08	28.8
47.30	24.8
37.22	22.4
46.82	19.6
36.71	19.5
47.52	18.2
51.40	18.0
51.89	15.1

***

(2)
# BaSiAg2Se3S
Theoretical XRD peak list, a wavelength of 1.5418 Å. Input: a DFT-relaxed cell (PBE, OQMD).
Kinematic intensities with the Lorentz-polarization factor, no thermal factor.

Cell and atoms:
Lattice parameters (Å, degrees): 8.427 10.023 6.468 90.00 129.85 90.00
Space group Cm (No. 8)
One atom of each set of equivalent atoms:
Ba  0.000  0.000  0.000 x2
Si  0.494  0.000  0.977 x2
Ag  0.494  0.243  0.496 x4
Se  0.336  0.500  0.364 x2
Se  0.342  0.188  0.989 x4
S  0.464  0.000  0.622 x2

Peak list (10 most intense, 10° ≤ 2θ ≤ 90°, most intense first)
2theta	I_rel
27.63	100.0
27.96	37.1
45.86	35.0
30.13	32.5
36.18	26.2
35.83	22.8
50.22	21.0
25.25	18.0
46.06	17.7
50.69	17.1